[1]
Calculated X-ray diffraction stick pattern
Compound: Pr2DyY4Er2
Radiation: copper Kα
Structure: a cell relaxed with GGA-PBE
Kinematic intensities with the Lorentz-polarization factor, no thermal factor.

Atomic structure:
```
data_Pr2DyY4Er2
_space_group_name_H-M_alt 'P -1'
_space_group_IT_number 2
_cell_length_a 6.005
_cell_length_b 6.625
_cell_length_c 8.646
_cell_angle_alpha 80.56
_cell_angle_beta 70.77
_cell_angle_gamma 65.74
loop_
_space_group_symop_operation_xyz
'x,y,z'
'-x,-y,-z'
loop_
_atom_site_label
_atom_site_fract_x
_atom_site_fract_y
_atom_site_fract_z
Pr1 0.228 0.319 0.343
Dy1 0.500 0.000 0.000
Y1 0.112 0.128 0.762
Y2 0.247 0.574 0.886
Er1 0.325 0.765 0.445
```

Largest 10 diffraction maxima, by angle, 2θ = 5–70°:
two_theta  d [Å]  I_rel  hkl
23.46  3.792  12.6  1 1 -1
29.79  2.999  40.5  2 1 1
31.25  2.862  56.9  0 2 1
31.47  2.843  100.0  1 0 -2
32.17  2.783  48.1  1 2 -1
32.26  2.775  46.8  1 1 3
32.73  2.736  12.7  2 0 1
42.57  2.124  15.6  2 -1 0
44.84  2.021  12.3  2 3 2
47.52  1.913  18.3  0 1 -4



[2]
Calculated X-ray diffraction stick pattern
Compound: Sc4SiTe3
Radiation: copper Kα
Structure: a cell relaxed with GGA-PBE
Kinematic intensities with the Lorentz-polarization factor, no thermal factor.

Atomic structure:
```
data_Sc4SiTe3
_space_group_name_H-M_alt 'P 1 2/c 1'
_space_group_IT_number 13
_cell_length_a 7.147
_cell_length_b 8.237
_cell_length_c 7.033
_cell_angle_alpha 90.00
_cell_angle_beta 109.15
_cell_angle_gamma 90.00
loop_
_space_group_symop_operation_xyz
'x,y,z'
'-x,-y,-z'
'-x,y,-z+1/2'
'x,-y,z+1/2'
loop_
_atom_site_label
_atom_site_fract_x
_atom_site_fract_y
_atom_site_fract_z
Sc1 0.219 0.112 0.002
Sc2 0.228 0.341 0.474
Si1 0.000 0.115 0.250
Te1 0.000 0.382 0.750
Te2 0.500 0.122 0.750
Te3 0.500 0.382 0.250
```

Largest 10 diffraction maxima, by angle, 2θ = 5–70°:
two_theta  d [Å]  I_rel  hkl
26.40  3.376  12.1  2 0 0
26.58  3.354  23.7  1 2 -1
26.84  3.322  11.0  0 0 2
30.73  2.909  100.0  1 2 1
30.96  2.888  50.3  2 0 -2
43.93  2.061  51.2  3 2 -1
44.07  2.055  17.6  2 0 2
44.47  2.037  34.7  1 2 -3
54.74  1.677  16.5  2 4 -2
64.01  1.455  9.8  2 4 2